Tb7PmTm4: computed XRD peak list (Cu Kα), based on a cell relaxed with GGA-PBE.

Structural model:
Lattice parameters (Å, degrees): 3.544 3.544 34.652 90.00 90.00 120.00
Atoms (fractional coordinates):
Tb (0.000, 0.000, 0.000)
Tb (0.000, 0.000, 0.249)
Tb (0.000, 0.000, 0.751)
Tb (0.333, 0.667, 0.165)
Tb (0.333, 0.667, 0.414)
Tb (0.667, 0.333, 0.586)
Tb (0.667, 0.333, 0.835)
Pm (0.000, 0.000, 0.500)
Tm (0.333, 0.667, 0.668)
Tm (0.333, 0.667, 0.917)
Tm (0.667, 0.333, 0.083)
Tm (0.667, 0.333, 0.332)

Principal peaks in the range 2θ = 5–70°, by angle:
- 30.92°, intensity 100
- 35.86°, intensity 51
- 51.62°, intensity 36
- 61.38°, intensity 32
- 61.46°, intensity 10
- 64.41°, intensity 9

***

TbPmY6Tm2: computed XRD peak list (Cu Kα), based on a cell relaxed with GGA-PBE.

Structural model:
Lattice parameters (Å, degrees): 8.759 8.759 9.604 94.17 94.17 116.95
Atoms (fractional coordinates):
Tb (0.027, 0.973, 0.750)
Tb (0.973, 0.027, 0.250)
Pm (0.408, 0.592, 0.250)
Pm (0.592, 0.408, 0.750)
Y (0.019, 0.569, 0.682)
Y (0.118, 0.755, 0.056)
Y (0.245, 0.882, 0.444)
Y (0.295, 0.508, 0.882)
Y (0.431, 0.981, 0.818)
Y (0.492, 0.705, 0.618)
Y (0.508, 0.295, 0.382)
Y (0.569, 0.019, 0.182)
Y (0.705, 0.492, 0.118)
Y (0.755, 0.118, 0.556)
Y (0.882, 0.245, 0.944)
Y (0.981, 0.431, 0.318)
Tm (0.194, 0.295, 0.547)
Tm (0.295, 0.194, 0.047)
Tm (0.705, 0.806, 0.953)
Tm (0.806, 0.705, 0.453)

Principal peaks in the range 2θ = 5–70°, by angle:
- 28.67°, intensity 38
- 30.34°, intensity 43
- 30.64°, intensity 46
- 31.49°, intensity 100
- 31.63°, intensity 37
- 33.82°, intensity 34

***

Tb3PmY2Tm6: computed XRD peak list (Cu Kα), based on a cell relaxed with GGA-PBE.

Structural model:
Lattice parameters (Å, degrees): 6.120 6.120 11.686 95.00 95.00 119.96
Atoms (fractional coordinates):
Tb (0.000, 0.000, 0.000)
Tb (0.333, 0.667, 0.000)
Tb (0.667, 0.333, 0.000)
Pm (0.500, 0.500, 0.500)
Y (0.167, 0.833, 0.500)
Y (0.833, 0.167, 0.500)
Tm (0.083, 0.416, 0.249)
Tm (0.251, 0.251, 0.751)
Tm (0.416, 0.083, 0.249)
Tm (0.584, 0.917, 0.751)
Tm (0.749, 0.749, 0.249)
Tm (0.917, 0.584, 0.751)

Principal peaks in the range 2θ = 5–70°, by angle:
- 31.00°, intensity 34
- 31.03°, intensity 100
- 35.97°, intensity 67
- 51.73°, intensity 24
- 51.84°, intensity 24
- 61.57°, intensity 33

***

TbPmYTm: computed XRD peak list (Cu Kα), based on a cell relaxed with GGA-PBE.

Structural model:
Lattice parameters (Å, degrees): 5.053 5.053 10.059 90.00 90.00 90.00
Atoms (fractional coordinates):
Tb (0.000, 0.000, 0.000)
Tb (0.500, 0.500, 0.500)
Pm (0.000, 0.500, 0.750)
Pm (0.500, 0.000, 0.250)
Y (0.000, 0.000, 0.500)
Y (0.500, 0.500, 0.000)
Tm (0.000, 0.500, 0.250)
Tm (0.500, 0.000, 0.750)

Principal peaks in the range 2θ = 5–70°, by angle:
- 30.69°, intensity 100
- 35.53°, intensity 34
- 35.71°, intensity 17
- 51.26°, intensity 24
- 60.82°, intensity 28
- 61.05°, intensity 14

***

Tb2Pm4Y2Tm: computed XRD peak list (Cu Kα), based on a cell relaxed with GGA-PBE.

Structural model:
Lattice parameters (Å, degrees): 8.050 8.050 8.032 107.52 107.52 36.81
Atoms (fractional coordinates):
Tb (0.111, 0.111, 0.168)
Tb (0.889, 0.889, 0.832)
Pm (0.222, 0.222, 0.834)
Pm (0.445, 0.445, 0.167)
Pm (0.555, 0.555, 0.833)
Pm (0.778, 0.778, 0.166)
Y (0.334, 0.334, 0.500)
Y (0.666, 0.666, 0.500)
Tm (0.000, 0.000, 0.500)

Principal peaks in the range 2θ = 5–70°, by angle:
- 30.45°, intensity 100
- 35.28°, intensity 34
- 35.35°, intensity 17
- 50.79°, intensity 36
- 60.34°, intensity 28
- 60.44°, intensity 14

***

TbPmYTm2: computed XRD peak list (Cu Kα), based on a cell relaxed with GGA-PBE.

Structural model:
Lattice parameters (Å, degrees): 8.871 8.871 6.367 90.00 90.00 137.91
Atoms (fractional coordinates):
Tb (0.155, 0.845, 0.750)
Tb (0.845, 0.155, 0.250)
Pm (0.343, 0.657, 0.750)
Pm (0.657, 0.343, 0.250)
Y (0.254, 0.746, 0.250)
Y (0.746, 0.254, 0.750)
Tm (0.251, 0.251, 0.000)
Tm (0.251, 0.251, 0.500)
Tm (0.749, 0.749, 0.000)
Tm (0.749, 0.749, 0.500)

Principal peaks in the range 2θ = 5–70°, by angle:
- 20.44°, intensity 23
- 30.07°, intensity 100
- 33.59°, intensity 38
- 35.57°, intensity 46
- 40.04°, intensity 42
- 66.64°, intensity 21